(1)
Calculated X-ray diffraction stick pattern
Compound: Ho4B3N4
Radiation: a wavelength of 1.5418 Å
Structure: DFT lattice parameters and positions (PBE)

Atomic structure:
```
data_Ho4B3N4
_chemical_formula_sum 'Ho8 B6 N8'
_cell_length_a 23.1093
_cell_length_b 3.3478
_cell_length_c 3.4828
_cell_angle_alpha 90.00
_cell_angle_beta 90.08
_cell_angle_gamma 90.00
_symmetry_space_group_name_H-M 'C 1 2/m 1'
_symmetry_Int_Tables_number 12
_symmetry_space_group_name_Hall '-C 2y'
loop_
_atom_site_label
_atom_site_fract_x
_atom_site_fract_y
_atom_site_fract_z
Ho1 0.0718 0.0000 0.0008
Ho2 0.1793 0.5000 0.5000
B1 0.0000 0.5000 0.5000
B2 0.2323 0.0000 0.0000
N1 0.0636 0.5000 0.5008
N2 0.1673 0.0000 0.9999
```

Main lines, by angle (2θ = 10–80°):
- hkl 2 0 -1, 2θ = 26.73°, I 62
- hkl 3 1 0, 2θ = 29.08°, I 47
- hkl 8 0 0, 2θ = 30.96°, I 68
- hkl 5 1 0, 2θ = 33.04°, I 59
- hkl 6 0 1, 2θ = 34.73°, I 83
- hkl 1 1 -1, 2θ = 37.46°, I 100
- hkl 7 1 1, 2θ = 46.62°, I 29
- hkl 9 1 -1, 2θ = 52.00°, I 37
- hkl 14 0 1, 2θ = 62.25°, I 37
- hkl 6 2 1, 2θ = 66.57°, I 26

(2)
Calculated X-ray diffraction stick pattern
Compound: Ho2Ni2B3N
Radiation: a wavelength of 1.5418 Å
Structure: DFT lattice parameters and positions (PBE)

Atomic structure:
```
data_Ho2Ni2B3N
_chemical_formula_sum 'Ho2 Ni2 B3 N1'
_cell_length_a 3.6043
_cell_length_b 3.6043
_cell_length_c 7.4519
_cell_angle_alpha 90.00
_cell_angle_beta 90.00
_cell_angle_gamma 90.00
_symmetry_space_group_name_H-M 'P 4 m m'
_symmetry_Int_Tables_number 99
_symmetry_space_group_name_Hall 'P 4 -2'
loop_
_atom_site_label
_atom_site_fract_x
_atom_site_fract_y
_atom_site_fract_z
Ho1 0.0000 0.0000 0.0000
Ho2 0.5000 0.5000 0.3395
Ni1 0.0000 0.5000 0.6567
B1 0.0000 0.0000 0.5083
B2 0.5000 0.5000 0.0024
B3 0.5000 0.5000 0.7859
N1 0.0000 0.0000 0.3143
```

Main lines, by angle (2θ = 10–80°):
- hkl 1 0 1, 2θ = 27.49°, I 100
- hkl 1 0 2, 2θ = 34.63°, I 63
- hkl 1 1 0, 2θ = 35.21°, I 22
- hkl 0 0 3, 2θ = 36.16°, I 41
- hkl 1 1 1, 2θ = 37.29°, I 59
- hkl 1 1 2, 2θ = 43.00°, I 46
- hkl 2 0 0, 2θ = 50.65°, I 35
- hkl 2 1 1, 2θ = 58.59°, I 26
- hkl 2 1 2, 2θ = 62.81°, I 23
- hkl 2 0 3, 2θ = 63.81°, I 30

(3)
Calculated X-ray diffraction stick pattern
Compound: YHo2Ni2B2N3
Radiation: a wavelength of 1.5418 Å
Structure: DFT lattice parameters and positions (PBE)

Atomic structure:
```
data_YHo2Ni2B2N3
_chemical_formula_sum 'Y2 Ho4 Ni4 B4 N6'
_cell_length_a 3.4634
_cell_length_b 3.4634
_cell_length_c 20.0355
_cell_angle_alpha 90.00
_cell_angle_beta 90.00
_cell_angle_gamma 90.00
_symmetry_space_group_name_H-M 'I 4/m m m'
_symmetry_Int_Tables_number 139
_symmetry_space_group_name_Hall '-I 4 2'
loop_
_atom_site_label
_atom_site_fract_x
_atom_site_fract_y
_atom_site_fract_z
Y1 0.0000 0.0000 0.0000
Ho1 0.0000 0.0000 0.3768
Ni1 0.0000 0.5000 0.2500
B1 0.0000 0.0000 0.1895
N1 0.0000 0.0000 0.1168
N2 0.0000 0.0000 0.5000
```

Main lines, by angle (2θ = 10–80°):
- hkl 1 0 1, 2θ = 26.11°, I 30
- hkl 1 0 3, 2θ = 29.04°, I 100
- hkl 1 0 5, 2θ = 34.22°, I 89
- hkl 0 0 8, 2θ = 35.86°, I 65
- hkl 1 1 0, 2θ = 36.70°, I 44
- hkl 1 1 2, 2θ = 37.82°, I 38
- hkl 1 1 4, 2θ = 41.02°, I 79
- hkl 2 0 0, 2θ = 52.87°, I 46
- hkl 2 1 5, 2θ = 64.50°, I 29
- hkl 2 0 8, 2θ = 65.54°, I 43